[1]
This entry pairs a crystal structure of ReNCl6 with its computed PXRD pattern. Radiation: Cu Kα, 1.54184 Å. Structure: a cell relaxed with PBE.
Peak positions follow from Bragg's law for the DFT cell and can differ from measured ones.

Atomic structure:
Cell lengths 5.922, 10.654, 6.881 Å; angles 90.00, 90.41, 90.00 degrees
Space group P2_1/m (No. 11)
Symmetry-distinct sites (fractional):
Re  0.040  0.250  0.289
N  0.206  0.250  0.503
Cl  0.181  0.750  0.000
Cl  0.206  0.597  0.596
Cl  0.254  0.095  0.144
Cl  0.353  0.250  0.693

Main lines, low angle first (5° ≤ 2θ ≤ 70°):
| Position (°2θ) | I_rel | index |
| --- | --- | --- |
| 14.96 | 49 | 1 0 0 |
| 15.33 | 100 | 0 1 1 |
| 16.64 | 51 | 0 2 0 |
| 21.42 | 51 | 1 1 -1 |
| 21.55 | 41 | 1 1 1 |
| 22.45 | 29 | 1 2 0 |
| 30.13 | 15 | 1 0 2 |
| 31.31 | 21 | 1 1 2 |
| 32.09 | 52 | 1 3 -1 |
| 41.76 | 21 | 2 3 -1 |
| 47.19 | 18 | 1 5 -1 |
| 53.30 | 13 | 3 0 -2 |

[2]
This entry pairs a crystal structure of Re2S2NCl11 with its computed PXRD pattern. Radiation: Cu Kα, 1.54184 Å. Structure: a cell relaxed with PBE.
Peak positions follow from Bragg's law for the DFT cell and can differ from measured ones.

Atomic structure:
Cell lengths 12.378, 13.193, 11.840 Å; angles 90.00, 107.58, 90.00 degrees
Space group C2/c (No. 15)
Symmetry-distinct sites (fractional):
Re  0.098  0.174  0.219
S  0.077  0.322  0.875
N  0.000  0.293  0.750
Cl  0.000  0.022  0.250
Cl  0.080  0.248  0.400
Cl  0.086  0.474  0.897
Cl  0.118  0.104  0.047
Cl  0.190  0.320  0.189
Cl  0.233  0.399  0.669

Main lines, low angle first (5° ≤ 2θ ≤ 70°):
| Position (°2θ) | I_rel | index |
| --- | --- | --- |
| 10.06 | 17 | 1 1 0 |
| 11.28 | 52 | 1 1 -1 |
| 13.42 | 25 | 0 2 0 |
| 14.09 | 88 | 1 1 1 |
| 15.56 | 100 | 0 2 1 |
| 15.70 | 44 | 0 0 2 |
| 21.56 | 17 | 1 3 0 |
| 22.60 | 17 | 3 1 -1 |
| 28.16 | 14 | 0 4 1 |
| 31.04 | 20 | 1 1 -4 |
| 43.54 | 20 | 5 3 0 |
| 51.44 | 16 | 3 3 -6 |

[3]
This entry pairs a crystal structure of WSNCl5 with its computed PXRD pattern. Radiation: Cu Kα, 1.54184 Å. Structure: a cell relaxed with PBE.
Peak positions follow from Bragg's law for the DFT cell and can differ from measured ones.

Atomic structure:
Cell lengths 6.090, 9.306, 16.455 Å; angles 90.00, 109.01, 90.00 degrees
Space group P2_1/c (No. 14)
Symmetry-distinct sites (fractional):
W  0.097  0.150  0.091
S  0.419  0.716  0.243
N  0.355  0.188  0.179
Cl  0.060  0.008  0.835
Cl  0.137  0.667  0.890
Cl  0.185  0.220  0.487
Cl  0.265  0.560  0.543
Cl  0.446  0.582  0.147

Main lines, low angle first (5° ≤ 2θ ≤ 70°):
| Position (°2θ) | I_rel | index |
| --- | --- | --- |
| 11.08 | 100 | 0 1 1 |
| 11.37 | 27 | 0 0 2 |
| 14.84 | 97 | 0 1 2 |
| 15.39 | 46 | 1 0 0 |
| 15.89 | 84 | 1 0 -2 |
| 17.42 | 54 | 1 1 -1 |
| 19.92 | 33 | 0 2 1 |
| 24.01 | 72 | 1 1 2 |
| 24.96 | 30 | 1 1 -4 |
| 27.00 | 50 | 1 2 -3 |
| 28.32 | 31 | 1 1 3 |
| 33.93 | 27 | 1 2 -5 |

[4]
This entry pairs a crystal structure of WS2N3Cl3 with its computed PXRD pattern. Radiation: Cu Kα, 1.54184 Å. Structure: a cell relaxed with PBE.
Peak positions follow from Bragg's law for the DFT cell and can differ from measured ones.

Atomic structure:
Cell lengths 7.491, 9.313, 12.722 Å; angles 90.00, 121.65, 90.00 degrees
Space group P2_1/c (No. 14)
Symmetry-distinct sites (fractional):
W  0.013  0.133  0.410
S  0.251  0.580  0.619
S  0.260  0.695  0.964
N  0.104  0.691  0.636
N  0.116  0.593  0.993
N  0.311  0.655  0.529
Cl  0.227  0.105  0.322
Cl  0.241  0.512  0.266
Cl  0.327  0.215  0.584

Main lines, low angle first (5° ≤ 2θ ≤ 70°):
| Position (°2θ) | I_rel | index |
| --- | --- | --- |
| 12.54 | 85 | 0 1 1 |
| 13.89 | 100 | 1 0 0 |
| 15.20 | 38 | 1 1 -1 |
| 17.70 | 41 | 1 1 -2 |
| 18.96 | 47 | 0 1 2 |
| 21.74 | 34 | 1 1 1 |
| 22.50 | 43 | 1 2 -1 |
| 28.31 | 39 | 1 1 2 |
| 29.93 | 29 | 0 3 1 |
| 32.28 | 30 | 2 2 -3 |
| 33.27 | 23 | 0 3 2 |
| 39.60 | 38 | 1 2 3 |

[5]
This entry pairs a crystal structure of ZrS4N4Cl6 with its computed PXRD pattern. Radiation: Cu Kα, 1.54184 Å. Structure: a cell relaxed with PBE.
Peak positions follow from Bragg's law for the DFT cell and can differ from measured ones.

Atomic structure:
Cell lengths 6.944, 11.360, 18.343 Å; angles 103.21, 98.78, 91.71 degrees
Space group P-1 (No. 2)
Symmetry-distinct sites (fractional):
Zr  0.030  0.060  0.407
Zr  0.466  0.433  0.089
S  0.001  0.419  0.310
S  0.004  0.049  0.166
S  0.079  0.788  0.160
S  0.158  0.666  0.399
S  0.372  0.058  0.103
S  0.420  0.352  0.335
S  0.472  0.387  0.662
S  0.493  0.128  0.813
N  0.007  0.560  0.346
N  0.022  0.089  0.840
N  0.190  0.105  0.143
N  0.190  0.351  0.318
N  0.309  0.799  0.177
N  0.345  0.684  0.360
N  0.464  0.523  0.661
N  0.487  0.012  0.847
Cl  0.112  0.142  0.665
Cl  0.173  0.252  0.490
Cl  0.200  0.843  0.669
Cl  0.214  0.477  0.168
Cl  0.228  0.950  0.503
Cl  0.236  0.910  0.007
Cl  0.278  0.259  0.002
Cl  0.280  0.582  0.490
Cl  0.293  0.046  0.334
Cl  0.296  0.575  0.009
Cl  0.317  0.394  0.832
Cl  0.345  0.699  0.845

Main lines, low angle first (5° ≤ 2θ ≤ 70°):
| Position (°2θ) | I_rel | index |
| --- | --- | --- |
| 14.63 | 100 | 1 0 1 |
| 14.76 | 54 | 1 -1 0 |
| 15.68 | 50 | 1 1 0 |
| 16.06 | 44 | 0 2 0 |
| 20.17 | 45 | 0 0 4 |
| 20.95 | 33 | 0 2 2 |
| 29.91 | 40 | 1 3 -4 |
| 30.33 | 66 | 2 0 -4 |
| 30.45 | 44 | 0 0 6 |
| 31.40 | 73 | 1 -3 4 |
| 32.72 | 65 | 1 3 2 |
| 33.32 | 42 | 2 1 -5 |

[6]
This entry pairs a crystal structure of SmYNCl2 with its computed PXRD pattern. Radiation: Cu Kα, 1.54184 Å. Structure: a cell relaxed with PBE.
Peak positions follow from Bragg's law for the DFT cell and can differ from measured ones.

Atomic structure:
Cell lengths 3.6470, 3.6470, 10.1401 Å; angles 90.00, 90.00, 120.00 degrees
Space group P3m1 (No. 156)
Symmetry-distinct sites (fractional):
Sm  0.0000  0.0000  0.0000
Y  0.6667  0.3333  0.7384
N  0.3333  0.6667  0.8612
Cl  0.0000  0.0000  0.5648
Cl  0.6667  0.3333  0.1805

Main lines, low angle first (5° ≤ 2θ ≤ 70°):
| Position (°2θ) | I_rel | index |
| --- | --- | --- |
| 8.72 | 100 | 0 0 1 |
| 28.26 | 19 | 1 0 0 |
| 29.62 | 20 | 0 1 1 |
| 33.43 | 70 | 1 0 2 |
| 35.41 | 7 | 0 0 4 |
| 39.03 | 23 | 1 0 3 |
| 45.90 | 11 | 0 1 4 |
| 50.02 | 17 | 1 1 0 |
| 50.88 | 8 | 1 1 1 |
| 53.71 | 11 | 0 1 5 |
| 61.50 | 11 | 0 2 2 |
| 62.77 | 8 | 1 1 4 |

[7]
This entry pairs a crystal structure of Zn2SnN4Cl with its computed PXRD pattern. Radiation: Cu Kα, 1.54184 Å. Structure: a cell relaxed with PBE.
Peak positions follow from Bragg's law for the DFT cell and can differ from measured ones.

Atomic structure:
Cell lengths 4.702, 4.702, 10.557 Å; angles 90.00, 90.00, 90.00 degrees
Space group I-4 (No. 82)
Symmetry-distinct sites (fractional):
Zn  0.000  0.000  0.000
Zn  0.000  0.500  0.250
Sn  0.000  0.000  0.500
N  0.100  0.383  0.074
Cl  0.000  0.500  0.750

Main lines, low angle first (5° ≤ 2θ ≤ 70°):
| Position (°2θ) | I_rel | index |
| --- | --- | --- |
| 16.80 | 21 | 0 0 2 |
| 20.68 | 19 | 1 0 1 |
| 31.81 | 100 | 1 1 2 |
| 33.97 | 21 | 0 0 4 |
| 38.29 | 36 | 2 0 0 |
| 42.07 | 5 | 2 0 2 |
| 43.90 | 5 | 2 1 1 |
| 52.10 | 26 | 2 0 4 |
| 55.26 | 11 | 2 2 0 |
| 59.43 | 21 | 1 1 6 |
| 65.19 | 29 | 1 3 2 |
| 66.47 | 13 | 2 2 4 |

[8]
This entry pairs a crystal structure of W2NCl9 with its computed PXRD pattern. Radiation: Cu Kα, 1.54184 Å. Structure: a cell relaxed with PBE.
Peak positions follow from Bragg's law for the DFT cell and can differ from measured ones.

Atomic structure:
Cell lengths 8.965, 17.182, 12.656 Å; angles 90.00, 134.73, 90.00 degrees
Space group P2_1/c (No. 14)
Symmetry-distinct sites (fractional):
W  0.184  0.092  0.042
W  0.189  0.190  0.539
N  0.183  0.194  0.041
Cl  0.000  0.075  0.795
Cl  0.004  0.198  0.291
Cl  0.123  0.690  0.024
Cl  0.146  0.574  0.532
Cl  0.200  0.056  0.536
Cl  0.345  0.074  0.283
Cl  0.370  0.192  0.787
Cl  0.494  0.069  0.111
Cl  0.500  0.202  0.603

Main lines, low angle first (5° ≤ 2θ ≤ 70°):
| Position (°2θ) | I_rel | index |
| --- | --- | --- |
| 11.12 | 21 | 0 1 1 |
| 13.98 | 69 | 1 0 -2 |
| 14.86 | 100 | 1 1 0 |
| 18.37 | 23 | 0 3 1 |
| 19.75 | 26 | 0 0 2 |
| 20.47 | 34 | 2 1 -2 |
| 22.96 | 35 | 1 4 -1 |
| 27.80 | 52 | 0 5 1 |
| 31.49 | 27 | 3 0 -2 |
| 31.54 | 29 | 1 0 -4 |
| 39.96 | 14 | 3 5 -3 |
| 49.59 | 16 | 1 5 -5 |

[9]
This entry pairs a crystal structure of Zn2NCl with its computed PXRD pattern. Radiation: Cu Kα, 1.54184 Å. Structure: a cell relaxed with PBE.
Peak positions follow from Bragg's law for the DFT cell and can differ from measured ones.

Atomic structure:
Cell lengths 6.154, 6.024, 7.489 Å; angles 90.00, 90.00, 90.00 degrees
Space group Pnma (No. 62)
Symmetry-distinct sites (fractional):
Zn  0.000  0.000  0.000
Zn  0.101  0.250  0.338
N  0.087  0.750  0.871
Cl  0.093  0.750  0.387

Main lines, low angle first (5° ≤ 2θ ≤ 70°):
| Position (°2θ) | I_rel | index |
| --- | --- | --- |
| 18.91 | 39 | 0 1 1 |
| 27.89 | 30 | 1 0 2 |
| 29.02 | 41 | 2 0 0 |
| 31.43 | 25 | 2 0 1 |
| 35.27 | 100 | 1 2 1 |
| 38.35 | 29 | 0 2 2 |
| 38.93 | 52 | 1 0 3 |
| 41.17 | 19 | 1 2 2 |
| 43.76 | 20 | 2 2 1 |
| 48.80 | 18 | 2 2 2 |
| 58.00 | 20 | 0 2 4 |
| 59.88 | 16 | 3 2 2 |